Starting from a structure optimized by DFT (PBE), the PXRD pattern of Pm4Bi3O4 was calculated for Cu Kα X-rays.
Intensities are scaled so that the largest is 100.

Structure:
abc: 8.876 7.599 7.599
angles: 30.03 90.00 90.00
Atoms (fractional coordinates):
Pm1 0.000 0.000 0.000
Pm2 0.240 0.655 0.655
Pm3 0.500 0.016 0.016
Pm4 0.760 0.655 0.655
Bi1 0.000 0.300 0.300
Bi2 0.329 0.349 0.349
Bi3 0.671 0.349 0.349
O1 0.000 0.577 0.577
O2 0.245 0.075 0.075
O3 0.500 0.600 0.600
O4 0.755 0.075 0.075

Top 12 peaks for 2θ from 10° to 80°, most intense first:
- 29.11 deg, d = 3.068 Å, rel. 100.0
- 31.64 deg, d = 2.828 Å, rel. 38.5
- 30.97 deg, d = 2.888 Å, rel. 35.4
- 23.41 deg, d = 3.801 Å, rel. 30.1
- 38.55 deg, d = 2.335 Å, rel. 28.6
- 53.65 deg, d = 1.708 Å, rel. 27.1
- 32.63 deg, d = 2.744 Å, rel. 24.5
- 57.01 deg, d = 1.615 Å, rel. 21.4
- 46.10 deg, d = 1.969 Å, rel. 17.7
- 36.73 deg, d = 2.447 Å, rel. 16.1
- 42.45 deg, d = 2.130 Å, rel. 14.6
- 50.78 deg, d = 1.798 Å, rel. 13.7



Starting from a structure optimized by DFT (PBE), the PXRD pattern of PmPrBiO2 was calculated for Cu Kα X-rays.
Intensities are scaled so that the largest is 100.

Structure:
abc: 4.029 4.029 14.061
angles: 90.00 90.00 90.00
Atoms (fractional coordinates):
Pm1 0.000 0.000 0.000
Pm2 0.500 0.500 0.500
Pr1 0.000 0.000 0.668
Pr2 0.500 0.500 0.168
Bi1 0.000 0.000 0.335
Bi2 0.500 0.500 0.835
O1 0.000 0.500 0.081
O2 0.000 0.500 0.581
O3 0.500 0.000 0.081
O4 0.500 0.000 0.581

Top 12 peaks for 2θ from 10° to 80°, most intense first:
- 29.23 deg, d = 3.055 Å, rel. 100.0
- 31.40 deg, d = 2.849 Å, rel. 36.0
- 54.57 deg, d = 1.682 Å, rel. 35.5
- 50.42 deg, d = 1.810 Å, rel. 25.1
- 45.00 deg, d = 2.014 Å, rel. 17.6
- 60.62 deg, d = 1.528 Å, rel. 11.6
- 63.91 deg, d = 1.457 Å, rel. 11.1
- 38.41 deg, d = 2.343 Å, rel. 10.6
- 73.34 deg, d = 1.291 Å, rel. 7.5
- 74.48 deg, d = 1.274 Å, rel. 6.5
- 78.60 deg, d = 1.217 Å, rel. 5.8
- 65.54 deg, d = 1.424 Å, rel. 5.7



Starting from a structure optimized by DFT (PBE), the PXRD pattern of Rb4Pm3BiO8 was calculated for Cu Kα X-rays.
Intensities are scaled so that the largest is 100.

Structure:
abc: 7.827 7.827 7.827
angles: 55.40 55.40 55.40
Atoms (fractional coordinates):
Rb1 0.000 0.000 0.000
Rb2 0.000 0.500 0.500
Rb3 0.500 0.000 0.500
Rb4 0.500 0.500 0.000
Pm1 0.000 0.000 0.500
Pm2 0.000 0.500 0.000
Pm3 0.500 0.000 0.000
Bi1 0.500 0.500 0.500
O1 0.222 0.731 0.731
O2 0.226 0.226 0.226
O3 0.269 0.269 0.778
O4 0.269 0.778 0.269
O5 0.731 0.222 0.731
O6 0.731 0.731 0.222
O7 0.774 0.774 0.774
O8 0.778 0.269 0.269

Top 12 peaks for 2θ from 10° to 80°, most intense first:
- 33.71 deg, d = 2.658 Å, rel. 100.0
- 29.75 deg, d = 3.003 Å, rel. 83.8
- 27.01 deg, d = 3.302 Å, rel. 39.2
- 46.65 deg, d = 1.947 Å, rel. 35.7
- 50.15 deg, d = 1.819 Å, rel. 32.8
- 13.41 deg, d = 6.603 Å, rel. 31.1
- 57.87 deg, d = 1.593 Å, rel. 29.3
- 54.73 deg, d = 1.677 Å, rel. 19.4
- 61.79 deg, d = 1.501 Å, rel. 16.6
- 78.19 deg, d = 1.223 Å, rel. 14.0
- 59.40 deg, d = 1.556 Å, rel. 12.7
- 70.90 deg, d = 1.329 Å, rel. 10.1